1.
This entry pairs a crystal structure of Nd2Th5Sc5 with its calculated powder X-ray diffraction pattern. Radiation: Cu Kα. Structure: DFT lattice parameters and positions (PBE).
Peak positions follow from Bragg's law for the DFT cell and can differ from measured ones.

Structure:
```
Nd2Th5Sc5
1.0
7.4102 -2.4257 0.0000
7.4102 2.4257 0.0000
-4.9965 0.0000 9.8032
Nd Th Sc
2 5 5
direct
0.0821 0.0821 0.2507
0.9179 0.9179 0.7493
0.0000 0.0000 0.5000
0.1670 0.1670 0.9976
0.2484 0.2484 0.7477
0.7516 0.7516 0.2523
0.8330 0.8330 0.0024
0.3336 0.3336 0.4975
0.4144 0.4144 0.2540
0.5000 0.5000 0.0000
0.5856 0.5856 0.7460
0.6664 0.6664 0.5025
```

Largest 12 diffraction maxima, in order of rising 2θ, 10 to 90 degrees two-theta:
2θ/deg  intensity
19.3  15
19.5  34
31.6  100
31.7  99
36.4  34
36.7  34
37.1  33
52.9  24
53.1  23
62.4  15
62.6  14
63.4  28

2.
This entry pairs a crystal structure of MgMn5 with its calculated powder X-ray diffraction pattern. Radiation: Cu Kα. Structure: DFT lattice parameters and positions (PBE).
Peak positions follow from Bragg's law for the DFT cell and can differ from measured ones.

Structure:
```
MgMn5
1.0
2.6605 0.0000 0.0000
0.0000 2.6605 0.0000
0.0000 0.0000 11.0115
Mg Mn
1 5
direct
0.0000 0.0000 0.0000
0.0000 0.0000 0.3506
0.0000 0.0000 0.6494
0.5000 0.5000 0.2000
0.5000 0.5000 0.5000
0.5000 0.5000 0.8000
```

Largest 12 diffraction maxima, in order of rising 2θ, 10 to 90 degrees two-theta:
2θ/deg  intensity
16.1  7
41.9  100
47.5  21
48.4  38
49.1  3
49.7  8
58.7  6
70.8  11
71.9  10
79.4  9
85.9  21
89.8  6

3.
This entry pairs a crystal structure of TlHgIr with its calculated powder X-ray diffraction pattern. Radiation: Cu Kα. Structure: DFT lattice parameters and positions (PBE).
Peak positions follow from Bragg's law for the DFT cell and can differ from measured ones.

Structure:
```
TlHgIr
1.0
6.3996 -1.5462 0.0000
6.3996 1.5462 0.0000
-0.0287 0.0000 3.1980
Tl Hg Ir
1 1 1
direct
0.0000 0.0000 0.0000
0.2874 0.2874 0.0096
0.6429 0.6429 0.5053
```

Largest 12 diffraction maxima, in order of rising 2θ, 10 to 90 degrees two-theta:
2θ/deg  intensity
27.9  23
31.2  17
31.4  20
35.9  100
39.7  38
40.0  35
41.2  86
42.4  21
57.6  22
65.9  20
66.4  19
74.4  16

4.
This entry pairs a crystal structure of Ti5Nb2Ga with its calculated powder X-ray diffraction pattern. Radiation: Cu Kα. Structure: DFT lattice parameters and positions (PBE).
Peak positions follow from Bragg's law for the DFT cell and can differ from measured ones.

Structure:
```
Ti5Nb2Ga
1.0
-3.5060 3.5060 5.6371
3.5060 -3.5060 5.6371
3.5060 3.5060 -5.6371
Ti Nb Ga
10 4 2
direct
0.0000 0.0000 0.0000
0.0154 0.5154 0.2039
0.1885 0.9846 0.5000
0.3115 0.8115 0.7961
0.4846 0.6885 0.5000
0.5000 0.5000 0.0000
0.5154 0.3115 0.5000
0.6885 0.1885 0.2039
0.8115 0.0154 0.5000
0.9846 0.4846 0.7961
0.1584 0.3416 0.5000
0.3416 0.8416 0.1832
0.6584 0.1584 0.8168
0.8416 0.6584 0.5000
0.2500 0.2500 0.0000
0.7500 0.7500 0.0000
```

Largest 12 diffraction maxima, in order of rising 2θ, 10 to 90 degrees two-theta:
2θ/deg  intensity
15.7  8
29.6  11
31.7  10
36.2  9
37.3  100
40.7  50
48.4  8
52.5  12
59.7  11
76.8  9
77.6  15
83.0  9

5.
This entry pairs a crystal structure of Tb3Dy4S8 with its calculated powder X-ray diffraction pattern. Radiation: Cu Kα. Structure: DFT lattice parameters and positions (PBE).
Peak positions follow from Bragg's law for the DFT cell and can differ from measured ones.

Structure:
```
Tb3Dy4S8
1.0
5.5261 -5.5270 0.0000
5.5261 5.5270 0.0000
-5.5227 0.0000 5.5276
Tb Dy S
3 4 8
direct
0.0000 0.0000 0.0000
0.0000 0.5000 0.0000
0.5000 0.0000 0.0000
0.0000 0.5000 0.5000
0.5000 0.0000 0.5000
0.5000 0.5000 0.0000
0.5000 0.5000 0.5000
0.2503 0.2503 0.5013
0.2504 0.2504 0.9995
0.2497 0.7503 0.5000
0.2507 0.7493 0.0000
0.7493 0.2507 0.0000
0.7503 0.2497 0.5000
0.7496 0.7496 0.0005
0.7497 0.7497 0.4987
```

Largest 12 diffraction maxima, in order of rising 2θ, 10 to 90 degrees two-theta:
2θ/deg  intensity
13.9  14
16.0  7
26.7  9
28.0  72
32.4  100
46.5  72
55.1  35
57.8  25
67.8  11
74.9  14
77.2  32
86.2  25

6.
This entry pairs a crystal structure of InOs2O8 with its calculated powder X-ray diffraction pattern. Radiation: Cu Kα. Structure: DFT lattice parameters and positions (PBE).
Peak positions follow from Bragg's law for the DFT cell and can differ from measured ones.

Structure:
```
InOs2O8
1.0
5.9213 0.0000 0.0000
-2.9607 5.1280 0.0000
0.0000 0.0000 6.5177
In Os O
1 2 8
direct
0.0000 0.0000 0.0000
0.3333 0.6667 0.2923
0.6667 0.3333 0.7077
0.1693 0.3386 0.1965
0.1693 0.8307 0.1965
0.3333 0.6667 0.5588
0.3386 0.1693 0.8035
0.6614 0.8307 0.1965
0.6667 0.3333 0.4412
0.8307 0.1693 0.8035
0.8307 0.6614 0.8035
```

Largest 12 diffraction maxima, in order of rising 2θ, 10 to 90 degrees two-theta:
2θ/deg  intensity
22.1  100
30.2  38
32.6  21
37.7  13
45.0  14
45.3  7
49.0  23
52.2  11
53.6  8
55.1  10
62.8  7
67.4  9

7.
This entry pairs a crystal structure of LaZnBiAu with its calculated powder X-ray diffraction pattern. Radiation: Cu Kα. Structure: DFT lattice parameters and positions (PBE).
Peak positions follow from Bragg's law for the DFT cell and can differ from measured ones.

Structure:
```
LaZnBiAu
1.0
0.0000 3.6802 3.6802
3.6802 0.0000 3.6802
3.6802 3.6802 0.0000
La Zn Bi Au
1 1 1 1
direct
0.0000 0.0000 0.0000
0.2500 0.2500 0.2500
0.5000 0.5000 0.5000
0.7500 0.7500 0.7500
```

Largest 12 diffraction maxima, in order of rising 2θ, 10 to 90 degrees two-theta:
2θ/deg  intensity
20.9  12
24.2  2
34.5  100
40.7  7
49.5  18
54.3  3
61.7  37
65.9  3
72.7  12
76.6  3
83.0  17
86.8  1

8.
This entry pairs a crystal structure of Co3Au with its calculated powder X-ray diffraction pattern. Radiation: Cu Kα. Structure: DFT lattice parameters and positions (PBE).
Peak positions follow from Bragg's law for the DFT cell and can differ from measured ones.

Structure:
```
Co3Au
1.0
4.2157 0.0000 0.0000
0.0000 5.2106 0.0000
0.0000 0.0000 4.6479
Co Au
6 2
direct
0.2500 0.0025 0.1500
0.2500 0.4975 0.1500
0.2500 0.7500 0.6991
0.7500 0.2500 0.3009
0.7500 0.5025 0.8500
0.7500 0.9975 0.8500
0.2500 0.2500 0.6495
0.7500 0.7500 0.3505
```

Largest 12 diffraction maxima, in order of rising 2θ, 10 to 90 degrees two-theta:
2θ/deg  intensity
25.7  21
27.2  36
28.6  24
33.5  21
39.7  32
42.9  43
44.5  61
45.3  100
59.8  18
80.3  18
86.4  19
89.3  17